Record 1
Starting from a crystal structure in Alexandria, relaxed with PBE, the powder diffraction line list of Y2U3O11 was computed for copper Kα.
Neutral-atom scattering factors, no anomalous dispersion.

Structure:
a = 9.957 Å, b = 9.957 Å, c = 9.957 Å
α = 158.07°, β = 148.26°, γ = 38.91°
Sites, in units of the cell vectors:
Y  0.203  0.203  0.000
Y  0.797  0.797  0.000
U  0.000  0.000  0.000
U  0.402  0.402  0.000
U  0.598  0.598  0.000
O  0.071  0.308  0.763
O  0.137  0.900  0.238
O  0.219  0.500  0.719
O  0.338  0.100  0.238
O  0.456  0.692  0.763
O  0.500  0.000  0.500
O  0.544  0.308  0.237
O  0.662  0.900  0.762
O  0.781  0.500  0.281
O  0.863  0.100  0.762
O  0.929  0.692  0.237

The 12 most intense peaks (2θ from 10° to 90°), most intense first:
- 28.7 deg, d 3.109, rel. 100
- 28.9 deg, d 3.091, rel. 96
- 47.7 deg, d 1.905, rel. 73
- 33.6 deg, d 2.666, rel. 47
- 57.0 deg, d 1.614, rel. 32
- 56.2 deg, d 1.636, rel. 31
- 57.3 deg, d 1.607, rel. 29
- 32.9 deg, d 2.723, rel. 25
- 48.1 deg, d 1.893, rel. 18
- 48.5 deg, d 1.878, rel. 17
- 80.2 deg, d 1.197, rel. 14
- 77.1 deg, d 1.237, rel. 14

=====

Record 2
Starting from a crystal structure in Alexandria, relaxed with PBE, the powder diffraction line list of Yb6U3O17 was computed for copper Kα.
Neutral-atom scattering factors, no anomalous dispersion.

Structure:
a = 6.612 Å, b = 6.612 Å, c = 11.241 Å
α = 107.00°, β = 107.00°, γ = 47.77°
Sites, in units of the cell vectors:
Yb  0.002  0.002  0.175
Yb  0.331  0.337  0.614
Yb  0.375  0.276  0.942
Yb  0.663  0.669  0.386
Yb  0.724  0.625  0.058
Yb  0.998  0.998  0.825
U  0.020  0.980  0.500
U  0.347  0.306  0.269
U  0.694  0.653  0.731
O  0.069  0.613  0.450
O  0.104  0.582  0.795
O  0.136  0.550  0.115
O  0.256  0.726  0.342
O  0.274  0.744  0.658
O  0.387  0.931  0.550
O  0.418  0.896  0.205
O  0.450  0.864  0.885
O  0.563  0.097  0.428
O  0.602  0.034  0.767
O  0.603  0.065  0.128
O  0.766  0.230  0.652
O  0.770  0.234  0.348
O  0.772  0.228  0.000
O  0.903  0.437  0.572
O  0.935  0.397  0.872
O  0.966  0.398  0.233

The 12 most intense peaks (2θ from 10° to 90°), most intense first:
- 28.7 deg, d 3.109, rel. 100
- 29.1 deg, d 3.070, rel. 97
- 48.0 deg, d 1.897, rel. 31
- 48.2 deg, d 1.887, rel. 31
- 57.2 deg, d 1.611, rel. 28
- 57.0 deg, d 1.616, rel. 28
- 33.3 deg, d 2.689, rel. 24
- 33.7 deg, d 2.661, rel. 23
- 33.5 deg, d 2.677, rel. 23
- 47.6 deg, d 1.909, rel. 16
- 56.5 deg, d 1.628, rel. 15
- 48.6 deg, d 1.873, rel. 15